# 1
Theoretical powder diffractogram
Compound: Na3ZnPCO7
Radiation: Cu Ka
Structure: a crystal structure in Alexandria, relaxed with GGA-PBE
Peak positions follow from Bragg's law for the DFT cell and can differ from measured ones.

```
Na3ZnPCO7
1.0
5.1963 0.0000 0.0000
0.0000 6.7112 0.0000
-0.0041 0.0000 9.0197
Na Zn P C O
6 2 2 2 14
Direct
0.2427 0.2500 0.0886
0.2493 0.5008 0.7405
0.2493 0.9992 0.7405
0.7507 0.0008 0.2595
0.7507 0.4992 0.2595
0.7573 0.7500 0.9114
0.2246 0.7500 0.3651
0.7754 0.2500 0.6349
0.2862 0.2500 0.4162
0.7138 0.7500 0.5838
0.2556 0.7500 0.0657
0.7444 0.2500 0.9343
0.0219 0.7500 0.1157
0.1562 0.2500 0.5708
0.2095 0.0649 0.3219
0.2095 0.4351 0.3219
0.3019 0.7500 0.9242
0.4143 0.7500 0.5610
0.4470 0.7500 0.1603
0.5530 0.2500 0.8397
0.5857 0.2500 0.4390
0.6981 0.2500 0.0758
0.7905 0.5649 0.6781
0.7905 0.9351 0.6781
0.8438 0.7500 0.4292
0.9781 0.2500 0.8843
```

Main lines, by intensity (15 to 90 degrees two-theta):
| 2theta | d/Å | I_rel |
| --- | --- | --- |
| 33.29 | 2.691 | 1000 |
| 34.50 | 2.600 | 816 |
| 26.56 | 3.356 | 620 |
| 48.67 | 1.871 | 489 |
| 19.72 | 4.503 | 377 |
| 26.16 | 3.406 | 312 |
| 42.34 | 2.134 | 275 |
| 37.06 | 2.426 | 212 |
| 54.71 | 1.678 | 208 |
| 16.46 | 5.384 | 207 |



# 2
Theoretical powder diffractogram
Compound: Na2ZrPCO10
Radiation: Cu Ka
Structure: a crystal structure in Alexandria, relaxed with GGA-PBE
Peak positions follow from Bragg's law for the DFT cell and can differ from measured ones.

```
Na2ZrPCO10
1.0
6.3324 -3.3478 0.0000
6.3324 3.3478 0.0000
-5.7011 0.0000 10.0784
Na Zr P C O
4 2 2 2 20
Direct
0.2129 0.7158 0.6854
0.2842 0.7871 0.3146
0.7158 0.2129 0.6854
0.7871 0.2842 0.3146
0.1784 0.1784 0.1317
0.8216 0.8216 0.8683
0.2458 0.2458 0.8693
0.7542 0.7542 0.1307
0.3005 0.3005 0.3979
0.6995 0.6995 0.6021
0.0113 0.0113 0.9408
0.0528 0.0528 0.5111
0.1105 0.1105 0.7716
0.1225 0.4982 0.8554
0.1790 0.1790 0.3253
0.2648 0.2648 0.0152
0.3532 0.3532 0.3242
0.3550 0.3550 0.5224
0.4600 0.4600 0.1582
0.4982 0.1225 0.8554
0.5018 0.8775 0.1446
0.5400 0.5400 0.8418
0.6450 0.6450 0.4776
0.6468 0.6468 0.6758
0.7352 0.7352 0.9848
0.8210 0.8210 0.6747
0.8775 0.5018 0.1446
0.8895 0.8895 0.2284
0.9472 0.9472 0.4889
0.9887 0.9887 0.0592
```

Main lines, by intensity (15 to 90 degrees two-theta):
| 2theta | d/Å | I_rel |
| --- | --- | --- |
| 15.73 | 5.633 | 1000 |
| 26.61 | 3.349 | 941 |
| 21.86 | 4.066 | 645 |
| 23.25 | 3.825 | 531 |
| 28.24 | 3.160 | 360 |
| 25.60 | 3.480 | 359 |
| 15.48 | 5.723 | 344 |
| 16.08 | 5.512 | 339 |
| 31.26 | 2.861 | 327 |
| 37.91 | 2.373 | 315 |



# 3
Theoretical powder diffractogram
Compound: NaPd2CO
Radiation: Cu Ka
Structure: a crystal structure in Alexandria, relaxed with GGA-PBE
Peak positions follow from Bragg's law for the DFT cell and can differ from measured ones.

```
NaPd2CO
1.0
4.1198 0.0000 0.0000
0.0000 4.1198 0.0000
0.0000 0.0000 4.2096
Na Pd C O
1 2 1 1
Direct
0.0000 0.0000 0.0000
0.0000 0.5000 0.5000
0.5000 0.0000 0.5000
0.5000 0.5000 0.0000
0.0000 0.0000 0.5000
```

Main lines, by intensity (15 to 90 degrees two-theta):
| 2theta | d/Å | I_rel |
| --- | --- | --- |
| 37.55 | 2.395 | 1000 |
| 21.10 | 4.210 | 793 |
| 30.69 | 2.913 | 420 |
| 43.96 | 2.060 | 407 |
| 49.25 | 1.850 | 324 |
| 63.16 | 1.472 | 260 |
| 76.55 | 1.245 | 237 |
| 42.97 | 2.105 | 218 |
| 53.73 | 1.706 | 183 |
| 80.13 | 1.198 | 127 |